# 1
# La2ScAg
Simulated X-ray diffraction stick pattern, Cu Kα. Input: a DFT-relaxed cell (PBE, Alexandria).
Kinematic intensities with the Lorentz-polarization factor, no thermal factor.

Crystal structure
```
4
Lattice="5.6387 0.0000 0.0000 0.0000 5.6387 0.0000 0.0000 0.0000 3.6432" Properties=species:S:1:pos:R:3 pbc="T T T"
La 0.0000 2.8194 0.0000
La 2.8194 0.0000 0.0000
Sc 0.0000 0.0000 1.8216
Ag 2.8194 2.8194 1.8216
```

Main lines, in order of rising 2θ (10° ≤ 2θ ≤ 90°):
31.7 deg, rel. 57; 33.3 deg, rel. 100; 45.5 deg, rel. 21; 57.5 deg, rel. 40; 60.5 deg, rel. 17; 70.0 deg, rel. 11

=====

# 2
# LaSc2Ag
Simulated X-ray diffraction stick pattern, Cu Kα. Input: a DFT-relaxed cell (PBE, Alexandria).
Kinematic intensities with the Lorentz-polarization factor, no thermal factor.

Crystal structure
```
8
Lattice="3.5052 0.0000 0.0000 0.0000 5.3990 0.0000 0.0000 0.0000 10.9784" Properties=species:S:1:pos:R:3 pbc="T T T"
La 0.0000 0.0000 0.0000
La 1.7526 2.6995 5.4892
Sc 0.0000 2.6995 2.4162
Sc 0.0000 2.6995 8.5622
Sc 1.7526 0.0000 3.0730
Sc 1.7526 0.0000 7.9054
Ag 0.0000 0.0000 5.4892
Ag 1.7526 2.6995 0.0000
```

Main lines, in order of rising 2θ (10° ≤ 2θ ≤ 90°):
16.1 deg, rel. 38; 32.6 deg, rel. 26; 33.2 deg, rel. 29; 34.6 deg, rel. 100; 47.2 deg, rel. 18; 60.2 deg, rel. 19

=====

# 3
# LaTbScAg
Simulated X-ray diffraction stick pattern, Cu Kα. Input: a DFT-relaxed cell (PBE, Alexandria).
Kinematic intensities with the Lorentz-polarization factor, no thermal factor.

Crystal structure
```
16
Lattice="7.6156 0.0000 0.0000 0.0000 7.6156 0.0000 0.0000 0.0000 7.6156" Properties=species:S:1:pos:R:3 pbc="T T T"
La 0.0000 0.0000 0.0000
La 0.0000 3.8078 3.8078
La 3.8078 0.0000 3.8078
La 3.8078 3.8078 0.0000
Tb 0.0000 0.0000 3.8078
Tb 0.0000 3.8078 0.0000
Tb 3.8078 0.0000 0.0000
Tb 3.8078 3.8078 3.8078
Sc 1.9039 1.9039 5.7117
Sc 1.9039 5.7117 1.9039
Sc 5.7117 1.9039 1.9039
Sc 5.7117 5.7117 5.7117
Ag 1.9039 1.9039 1.9039
Ag 1.9039 5.7117 5.7117
Ag 5.7117 1.9039 5.7117
Ag 5.7117 5.7117 1.9039
```

Main lines, in order of rising 2θ (10° ≤ 2θ ≤ 90°):
23.4 deg, rel. 11; 33.3 deg, rel. 100; 47.8 deg, rel. 18; 59.5 deg, rel. 36; 69.9 deg, rel. 11; 79.6 deg, rel. 15

=====

# 4
# LaAgSe4
Simulated X-ray diffraction stick pattern, Cu Kα. Input: a DFT-relaxed cell (PBE, Alexandria).
Kinematic intensities with the Lorentz-polarization factor, no thermal factor.

Crystal structure
```
6
Lattice="0.0000 4.1165 4.1165 4.1165 0.0000 4.1165 4.1165 4.1165 0.0000" Properties=species:S:1:pos:R:3 pbc="T T T"
La 0.0000 0.0000 0.0000
Ag 2.0583 2.0583 2.0583
Se 5.1399 3.0932 3.0932
Se 3.0932 5.1399 3.0932
Se 3.0932 3.0932 5.1399
Se 5.1399 5.1399 5.1399
```

Main lines, in order of rising 2θ (10° ≤ 2θ ≤ 90°):
30.7 deg, rel. 43; 36.2 deg, rel. 100; 37.9 deg, rel. 27; 54.6 deg, rel. 16; 58.2 deg, rel. 33; 64.0 deg, rel. 26

=====

# 5
# LaAg2Se
Simulated X-ray diffraction stick pattern, Cu Kα. Input: a DFT-relaxed cell (PBE, Alexandria).
Kinematic intensities with the Lorentz-polarization factor, no thermal factor.

Crystal structure
```
8
Lattice="4.7969 0.0000 0.0000 0.0000 5.4102 0.0000 0.0000 0.0000 7.3080" Properties=species:S:1:pos:R:3 pbc="T T T"
La 0.0000 0.0000 0.0000
La 2.3984 2.7051 3.6540
Ag 0.0000 0.0000 3.6053
Ag 0.0000 2.7051 1.6806
Ag 2.3984 0.0000 5.3346
Ag 2.3984 2.7051 7.2593
Se 0.0000 2.7051 5.7462
Se 2.3984 0.0000 2.0922
```

Main lines, in order of rising 2θ (10° ≤ 2θ ≤ 90°):
33.1 deg, rel. 31; 35.0 deg, rel. 100; 37.5 deg, rel. 22; 50.9 deg, rel. 18; 60.4 deg, rel. 20; 66.1 deg, rel. 15

=====

# 6
# LaSiAg
Simulated X-ray diffraction stick pattern, Cu Kα. Input: a DFT-relaxed cell (PBE, Alexandria).
Kinematic intensities with the Lorentz-polarization factor, no thermal factor.

Crystal structure
```
12
Lattice="4.3033 0.0000 0.0000 0.0000 16.7202 0.0000 0.0000 0.0000 3.9007" Properties=species:S:1:pos:R:3 pbc="T T T"
La 0.0000 1.7073 0.9752
La 0.0000 15.0129 2.9255
La 2.1516 6.6528 2.9255
La 2.1516 10.0674 0.9752
Si 0.0000 7.6692 0.9752
Si 0.0000 9.0510 2.9255
Si 2.1516 0.6909 2.9255
Si 2.1516 16.0293 0.9752
Ag 0.0000 4.8419 0.9752
Ag 0.0000 11.8783 2.9255
Ag 2.1516 3.5182 2.9255
Ag 2.1516 13.2020 0.9752
```

Main lines, in order of rising 2θ (10° ≤ 2θ ≤ 90°):
31.4 deg, rel. 100; 34.0 deg, rel. 51; 39.8 deg, rel. 28; 42.0 deg, rel. 17; 58.9 deg, rel. 20; 59.2 deg, rel. 21

=====

# 7
# LaSm4Ag5
Simulated X-ray diffraction stick pattern, Cu Kα. Input: a DFT-relaxed cell (PBE, Alexandria).
Kinematic intensities with the Lorentz-polarization factor, no thermal factor.

Crystal structure
```
10
Lattice="3.7063 0.0000 0.0000 0.0000 3.7063 0.0000 0.0000 0.0000 18.9658" Properties=species:S:1:pos:R:3 pbc="T T T"
La 0.0000 0.0000 0.0000
Sm 0.0000 0.0000 3.8644
Sm 0.0000 0.0000 7.6083
Sm 0.0000 0.0000 11.3575
Sm 0.0000 0.0000 15.1014
Ag 1.8532 1.8532 2.0556
Ag 1.8532 1.8532 5.7349
Ag 1.8532 1.8532 9.4829
Ag 1.8532 1.8532 13.2309
Ag 1.8532 1.8532 16.9101
```

Main lines, in order of rising 2θ (10° ≤ 2θ ≤ 90°):
33.8 deg, rel. 100; 34.2 deg, rel. 49; 49.2 deg, rel. 17; 60.2 deg, rel. 17; 61.0 deg, rel. 35; 71.1 deg, rel. 11

=====

# 8
# La3Sm2Ag3
Simulated X-ray diffraction stick pattern, Cu Kα. Input: a DFT-relaxed cell (PBE, Alexandria).
Kinematic intensities with the Lorentz-polarization factor, no thermal factor.

Crystal structure
```
16
Lattice="3.7963 0.0000 0.0000 0.0000 5.5191 0.0000 0.0000 0.0000 22.5199" Properties=species:S:1:pos:R:3 pbc="T T T"
La 0.0000 0.0000 0.0000
La 0.0000 2.7596 2.7236
La 0.0000 2.7596 19.7963
La 1.8981 0.0000 8.5363
La 1.8981 0.0000 13.9835
La 1.8981 2.7596 11.2599
Sm 0.0000 0.0000 5.2167
Sm 0.0000 0.0000 17.3032
Sm 1.8981 2.7596 6.0432
Sm 1.8981 2.7596 16.4766
Ag 0.0000 0.0000 11.2599
Ag 0.0000 2.7596 8.5377
Ag 0.0000 2.7596 13.9822
Ag 1.8981 0.0000 2.7223
Ag 1.8981 0.0000 19.7976
Ag 1.8981 2.7596 0.0000
```

Main lines, in order of rising 2θ (10° ≤ 2θ ≤ 90°):
31.8 deg, rel. 22; 32.4 deg, rel. 27; 32.8 deg, rel. 100; 46.1 deg, rel. 16; 57.2 deg, rel. 12; 58.1 deg, rel. 19